# 1
Diffraction record for ErGa6. The powder X-ray diffraction pattern is calculated, not measured: it uses a crystal structure in the Materials Project, relaxed with PBE and Cu Kα X-rays.

Structural model:
```
ErGa6
1.0
5.9907 0.0000 0.0000
0.0000 5.9907 0.0000
0.0000 0.0000 7.5459
Er Ga
2 12
Direct
0.2500 0.7500 0.0000
0.7500 0.2500 0.0000
0.0595 0.5595 0.3480
0.0595 0.9405 0.6520
0.2500 0.2500 0.1605
0.2500 0.2500 0.8395
0.4405 0.5595 0.6520
0.4405 0.9405 0.3480
0.5595 0.0595 0.6520
0.5595 0.4405 0.3480
0.7500 0.7500 0.1605
0.7500 0.7500 0.8395
0.9405 0.0595 0.3480
0.9405 0.4405 0.6520
```

Most intense lines, 10° ≤ 2θ ≤ 90°, by angle:
| 2θ/deg | I/Imax |
| --- | --- |
| 31.8 | 35.3 |
| 32.2 | 100.0 |
| 35.6 | 26.1 |
| 41.8 | 43.8 |
| 42.7 | 37.3 |
| 54.2 | 22.8 |

---

# 2
Diffraction record for Er5Ga3. The powder X-ray diffraction pattern is calculated, not measured: it uses a crystal structure in the Materials Project, relaxed with PBE and Cu Kα X-rays.

Structural model:
```
Er5Ga3
1.0
8.5310 0.0000 0.0000
-4.2655 7.3880 0.0000
0.0000 0.0000 6.4556
Er Ga
10 6
Direct
0.0000 0.2436 0.2500
0.0000 0.7564 0.7500
0.2436 0.0000 0.2500
0.2436 0.2436 0.7500
0.3333 0.6667 0.0000
0.3333 0.6667 0.5000
0.6667 0.3333 0.0000
0.6667 0.3333 0.5000
0.7564 0.0000 0.7500
0.7564 0.7564 0.2500
0.0000 0.4011 0.7500
0.0000 0.5989 0.2500
0.4011 0.0000 0.7500
0.4011 0.4011 0.2500
0.5989 0.0000 0.2500
0.5989 0.5989 0.7500
```

Most intense lines, 10° ≤ 2θ ≤ 90°, by angle:
| 2θ/deg | I/Imax |
| --- | --- |
| 30.2 | 33.7 |
| 32.1 | 41.9 |
| 34.9 | 87.4 |
| 35.0 | 100.0 |
| 36.5 | 37.8 |
| 53.8 | 29.3 |

---

# 3
Diffraction record for Er12Ga9Ge11. The powder X-ray diffraction pattern is calculated, not measured: it uses a crystal structure in the Materials Project, relaxed with PBE and Cu Kα X-rays.

Structural model:
```
Er12Ga9Ge11
1.0
18.7326 0.0000 0.0000
0.0000 4.6794 3.7240
0.0000 -4.6794 3.7240
Er Ga Ge
12 9 11
Direct
0.0000 0.0000 0.0000
0.1248 0.1467 0.5447
0.1248 0.5447 0.1467
0.2501 0.6917 0.6917
0.3749 0.1467 0.5442
0.3749 0.5442 0.1467
0.5000 0.9993 0.9993
0.6251 0.1467 0.5442
0.6251 0.5442 0.1467
0.7499 0.6917 0.6917
0.8752 0.1467 0.5447
0.8752 0.5447 0.1467
0.0000 0.3866 0.3866
0.0988 0.6653 0.6653
0.1500 0.0237 0.0237
0.3497 0.0230 0.0230
0.4001 0.6682 0.6682
0.5999 0.6682 0.6682
0.6503 0.0230 0.0230
0.8500 0.0237 0.0237
0.9012 0.6653 0.6653
0.0000 0.4325 0.8401
0.0000 0.8401 0.4325
0.2499 0.2585 0.8508
0.2501 0.3058 0.3058
0.2499 0.8508 0.2585
0.5000 0.3856 0.3856
0.5000 0.4328 0.8404
0.5000 0.8404 0.4328
0.7501 0.2585 0.8508
0.7499 0.3058 0.3058
0.7501 0.8508 0.2585
```

Most intense lines, 10° ≤ 2θ ≤ 90°, by angle:
| 2θ/deg | I/Imax |
| --- | --- |
| 30.7 | 76.7 |
| 32.5 | 44.7 |
| 36.3 | 100.0 |
| 36.7 | 51.6 |
| 37.5 | 53.9 |
| 38.5 | 90.5 |

---

# 4
Diffraction record for Er3Ga2Ge3. The powder X-ray diffraction pattern is calculated, not measured: it uses a crystal structure in the Materials Project, relaxed with PBE and Cu Kα X-rays.

Structural model:
```
Er3Ga2Ge3
1.0
4.6692 -3.7153 0.0000
4.6692 3.7153 0.0000
0.0000 0.0000 9.3818
Er Ga Ge
6 4 6
Direct
0.1537 0.8463 0.7500
0.3010 0.3010 0.0000
0.3010 0.3010 0.5000
0.6990 0.6990 0.0000
0.6990 0.6990 0.5000
0.8463 0.1537 0.2500
0.1785 0.8215 0.0501
0.1785 0.8215 0.4499
0.8215 0.1785 0.5501
0.8215 0.1785 0.9499
0.0050 0.5874 0.2500
0.4126 0.9950 0.2500
0.4595 0.5405 0.2500
0.5405 0.4595 0.7500
0.5874 0.0050 0.7500
0.9950 0.4126 0.7500
```

Most intense lines, 10° ≤ 2θ ≤ 90°, by angle:
| 2θ/deg | I/Imax |
| --- | --- |
| 30.7 | 75.7 |
| 31.2 | 38.5 |
| 36.4 | 100.0 |
| 36.7 | 51.3 |
| 37.6 | 62.9 |
| 38.4 | 60.9 |